1.
This entry pairs a crystal structure of Ac4ZrPa3N8 with its simulated powder XRD pattern. Radiation: Cu Ka. Structure: a structure optimized by DFT (PBE).
Intensities are scaled so that the largest is 100.

Crystal structure
Cell: 7.421 7.421 7.421 Å, 57.88 57.88 57.88°
Positions (direct):
Ac (0.000, 0.000, 0.000)
Ac (0.000, 0.500, 0.500)
Ac (0.500, 0.000, 0.500)
Ac (0.500, 0.500, 0.000)
Zr (0.500, 0.500, 0.500)
Pa (0.000, 0.000, 0.500)
Pa (0.000, 0.500, 0.000)
Pa (0.500, 0.000, 0.000)
N (0.229, 0.229, 0.229)
N (0.231, 0.729, 0.729)
N (0.271, 0.271, 0.769)
N (0.271, 0.769, 0.271)
N (0.729, 0.231, 0.729)
N (0.729, 0.729, 0.231)
N (0.769, 0.271, 0.271)
N (0.771, 0.771, 0.771)

Most intense lines, 10 to 90 degrees two-theta, low angle first:
- d = 3.077 Å, intensity 39.4
- d = 2.947 Å, intensity 100.0
- d = 2.579 Å, intensity 90.0
- d = 1.853 Å, intensity 32.7
- d = 1.796 Å, intensity 31.2
- d = 1.588 Å, intensity 18.5
- d = 1.551 Å, intensity 32.9
- d = 1.533 Å, intensity 15.4
- d = 1.474 Å, intensity 16.1
- d = 1.139 Å, intensity 14.4

=====

2.
This entry pairs a crystal structure of YUB8 with its simulated powder XRD pattern. Radiation: Cu Ka. Structure: a structure optimized by DFT (PBE).
Intensities are scaled so that the largest is 100.

Crystal structure
Cell: 7.090 7.090 3.986 Å, 90.00 90.00 90.06°
Positions (direct):
Y (0.185, 0.815, 0.000)
Y (0.815, 0.185, 0.000)
U (0.312, 0.312, 0.000)
U (0.688, 0.688, 0.000)
B (0.000, 0.500, 0.201)
B (0.000, 0.500, 0.799)
B (0.041, 0.323, 0.500)
B (0.088, 0.088, 0.500)
B (0.178, 0.535, 0.500)
B (0.323, 0.041, 0.500)
B (0.414, 0.586, 0.500)
B (0.465, 0.822, 0.500)
B (0.500, 0.000, 0.201)
B (0.500, 0.000, 0.799)
B (0.535, 0.178, 0.500)
B (0.586, 0.414, 0.500)
B (0.677, 0.959, 0.500)
B (0.822, 0.465, 0.500)
B (0.912, 0.912, 0.500)
B (0.959, 0.677, 0.500)

Most intense lines, 10 to 90 degrees two-theta, low angle first:
- d = 5.014 Å, intensity 40.3
- d = 3.986 Å, intensity 60.7
- d = 3.545 Å, intensity 47.8
- d = 3.170 Å, intensity 77.4
- d = 3.120 Å, intensity 28.9
- d = 2.649 Å, intensity 65.1
- d = 2.481 Å, intensity 100.0
- d = 1.720 Å, intensity 33.0
- d = 1.579 Å, intensity 39.1
- d = 1.302 Å, intensity 26.8

=====

3.
This entry pairs a crystal structure of Y2ReTcB with its simulated powder XRD pattern. Radiation: Cu Ka. Structure: a structure optimized by DFT (PBE).
Intensities are scaled so that the largest is 100.

Crystal structure
Cell: 4.949 4.949 3.969 Å, 90.00 90.00 90.00°
Positions (direct):
Y (0.000, 0.500, 0.000)
Y (0.500, 0.000, 0.000)
Re (0.000, 0.000, 0.500)
Tc (0.500, 0.500, 0.500)
B (0.500, 0.500, 0.000)

Most intense lines, 10 to 90 degrees two-theta, low angle first:
- d = 2.625 Å, intensity 100.0
- d = 2.474 Å, intensity 45.3
- d = 1.985 Å, intensity 11.7
- d = 1.750 Å, intensity 15.7
- d = 1.548 Å, intensity 20.9
- d = 1.456 Å, intensity 32.0
- d = 1.312 Å, intensity 11.9
- d = 1.237 Å, intensity 14.2
- d = 1.119 Å, intensity 6.9
- d = 1.107 Å, intensity 7.1

=====

What did the third record say?
This entry pairs a crystal structure of Y2ReTcB with its simulated powder XRD pattern. Radiation: Cu Ka. Structure: a structure optimized by DFT (PBE).
Intensities are scaled so that the largest is 100.

Crystal structure
Cell: 4.949 4.949 3.969 Å, 90.00 90.00 90.00°
Positions (direct):
Y (0.000, 0.500, 0.000)
Y (0.500, 0.000, 0.000)
Re (0.000, 0.000, 0.500)
Tc (0.500, 0.500, 0.500)
B (0.500, 0.500, 0.000)

Most intense lines, 10 to 90 degrees two-theta, low angle first:
- d = 2.625 Å, intensity 100.0
- d = 2.474 Å, intensity 45.3
- d = 1.985 Å, intensity 11.7
- d = 1.750 Å, intensity 15.7
- d = 1.548 Å, intensity 20.9
- d = 1.456 Å, intensity 32.0
- d = 1.312 Å, intensity 11.9
- d = 1.237 Å, intensity 14.2
- d = 1.119 Å, intensity 6.9
- d = 1.107 Å, intensity 7.1

=====

Please write out number 1 again, unchanged.
This entry pairs a crystal structure of Ac4ZrPa3N8 with its simulated powder XRD pattern. Radiation: Cu Ka. Structure: a structure optimized by DFT (PBE).
Intensities are scaled so that the largest is 100.

Crystal structure
Cell: 7.421 7.421 7.421 Å, 57.88 57.88 57.88°
Positions (direct):
Ac (0.000, 0.000, 0.000)
Ac (0.000, 0.500, 0.500)
Ac (0.500, 0.000, 0.500)
Ac (0.500, 0.500, 0.000)
Zr (0.500, 0.500, 0.500)
Pa (0.000, 0.000, 0.500)
Pa (0.000, 0.500, 0.000)
Pa (0.500, 0.000, 0.000)
N (0.229, 0.229, 0.229)
N (0.231, 0.729, 0.729)
N (0.271, 0.271, 0.769)
N (0.271, 0.769, 0.271)
N (0.729, 0.231, 0.729)
N (0.729, 0.729, 0.231)
N (0.769, 0.271, 0.271)
N (0.771, 0.771, 0.771)

Most intense lines, 10 to 90 degrees two-theta, low angle first:
- d = 3.077 Å, intensity 39.4
- d = 2.947 Å, intensity 100.0
- d = 2.579 Å, intensity 90.0
- d = 1.853 Å, intensity 32.7
- d = 1.796 Å, intensity 31.2
- d = 1.588 Å, intensity 18.5
- d = 1.551 Å, intensity 32.9
- d = 1.533 Å, intensity 15.4
- d = 1.474 Å, intensity 16.1
- d = 1.139 Å, intensity 14.4